Starting from a GGA-PBE-relaxed structure, the powder diffractogram of Cs2LiGaF6 was simulated for Cu Kα X-rays.
Peak positions follow from Bragg's law for the DFT cell and can differ from measured ones.

Main lines, by angle (2θ = 10–90°):
- 23.63°, intensity 100
- 28.09°, intensity 64
- 37.02°, intensity 66
- 38.51°, intensity 17
- 47.11°, intensity 23
- 48.34°, intensity 19
- 49.71°, intensity 12
- 56.84°, intensity 20
- 58.07°, intensity 14
- 63.58°, intensity 16

abc: 6.353 6.353 5.165
angles: 90.00 90.00 120.00
Atoms (fractional coordinates):
Cs (0.333, 0.667, 0.268)
Cs (0.667, 0.333, 0.732)
Li (0.000, 0.000, 0.500)
Ga (0.000, 0.000, 0.000)
F (0.138, 0.277, 0.770)
F (0.138, 0.862, 0.770)
F (0.277, 0.138, 0.230)
F (0.723, 0.862, 0.770)
F (0.862, 0.138, 0.230)
F (0.862, 0.723, 0.230)


Starting from a GGA-PBE-relaxed structure, the powder diffractogram of Cs2LiGa3F12 was simulated for Cu Kα X-rays.
Peak positions follow from Bragg's law for the DFT cell and can differ from measured ones.

Main lines, by angle (2θ = 10–90°):
- 24.05°, intensity 18
- 24.40°, intensity 71
- 28.30°, intensity 100
- 28.46°, intensity 95
- 28.76°, intensity 31
- 29.64°, intensity 24
- 45.13°, intensity 34
- 49.26°, intensity 43
- 50.01°, intensity 35
- 55.71°, intensity 23

abc: 7.296 7.296 7.296
angles: 60.94 60.94 60.94
Atoms (fractional coordinates):
Cs (0.130, 0.130, 0.130)
Cs (0.870, 0.870, 0.870)
Li (0.500, 0.500, 0.500)
Ga (0.000, 0.500, 0.500)
Ga (0.500, 0.000, 0.500)
Ga (0.500, 0.500, 0.000)
F (0.164, 0.570, 0.570)
F (0.185, 0.185, 0.570)
F (0.185, 0.570, 0.185)
F (0.430, 0.430, 0.836)
F (0.430, 0.815, 0.815)
F (0.430, 0.836, 0.430)
F (0.570, 0.164, 0.570)
F (0.570, 0.185, 0.185)
F (0.570, 0.570, 0.164)
F (0.815, 0.430, 0.815)
F (0.815, 0.815, 0.430)
F (0.836, 0.430, 0.430)